Record 1
Calculated powder diffractogram
Compound: KHg2Te2
Radiation: Cu Ka
Structure: a DFT-relaxed cell (PBE, OQMD)

Cell and atoms:
```
data_KHg2Te2
_chemical_formula_sum 'K2 Hg4 Te4'
_symmetry_space_group_name_H-M 'I 4/m m m'
_symmetry_Int_Tables_number 139
_symmetry_space_group_name_Hall '-I 4 2'
_cell_length_a 5.0878
_cell_length_b 5.0878
_cell_length_c 14.1180
_cell_angle_alpha 90.00
_cell_angle_beta 90.00
_cell_angle_gamma 90.00
loop_
_atom_site_label
_atom_site_type_symbol
_atom_site_fract_x
_atom_site_fract_y
_atom_site_fract_z
_atom_site_occupancy
K1 K 0.0000 0.0000 0.0000 1
Hg1 Hg 0.0000 0.5000 0.2500 1
Te1 Te 0.0000 0.0000 0.3667 1
```

Most intense lines, 2θ = 15–90°, in order of rising 2θ:
d 3.455, rel. 38; d 3.205, rel. 90; d 2.544, rel. 67; d 2.519, rel. 100; d 1.969, rel. 36; d 1.464, rel. 38

Record 2
Calculated powder diffractogram
Compound: K2Hg2Te
Radiation: Cu Ka
Structure: a DFT-relaxed cell (PBE, OQMD)

Cell and atoms:
```
data_K2Hg2Te
_chemical_formula_sum 'K16 Hg16 Te8'
_symmetry_space_group_name_H-M 'F d d d'
_symmetry_Int_Tables_number 70
_cell_length_a 6.9467
_cell_length_b 15.7236
_cell_length_c 15.8034
_cell_angle_alpha 90.00
_cell_angle_beta 90.00
_cell_angle_gamma 90.00
loop_
_symmetry_equiv_pos_as_xyz
'x,y,z'
'-x,-y,-z'
'-x+1/4,-y+1/4,z'
'x+1/4,y+1/4,-z'
'x,-y+1/4,-z+1/4'
'-x,y+1/4,z+1/4'
'-x+1/4,y,-z+1/4'
'x+1/4,-y,z+1/4'
'x,y+1/2,z+1/2'
'-x,-y+1/2,-z+1/2'
'-x+1/4,-y+3/4,z+1/2'
'x+1/4,y+3/4,-z+1/2'
'x,-y+3/4,-z+3/4'
'-x,y+3/4,z+3/4'
'-x+1/4,y+1/2,-z+3/4'
'x+1/4,-y+1/2,z+3/4'
'x+1/2,y,z+1/2'
'-x+1/2,-y,-z+1/2'
'-x+3/4,-y+1/4,z+1/2'
'x+3/4,y+1/4,-z+1/2'
'x+1/2,-y+1/4,-z+3/4'
'-x+1/2,y+1/4,z+3/4'
'-x+3/4,y,-z+3/4'
'x+3/4,-y,z+3/4'
'x+1/2,y+1/2,z'
'-x+1/2,-y+1/2,-z'
'-x+3/4,-y+3/4,z'
'x+3/4,y+3/4,-z'
'x+1/2,-y+3/4,-z+1/4'
'-x+1/2,y+3/4,z+1/4'
'-x+3/4,y+1/2,-z+1/4'
'x+3/4,-y+1/2,z+1/4'
loop_
_atom_site_label
_atom_site_type_symbol
_atom_site_fract_x
_atom_site_fract_y
_atom_site_fract_z
_atom_site_occupancy
K1 K 0.1250 0.1250 0.2991 1
Hg1 Hg 0.0000 0.0000 0.5000 1
Te1 Te 0.1250 0.1250 0.6250 1
```

Most intense lines, 2θ = 15–90°, in order of rising 2θ:
d 5.895, rel. 100; d 3.276, rel. 45; d 2.948, rel. 46; d 2.787, rel. 30; d 2.519, rel. 34; d 2.100, rel. 23